Record 1
This entry pairs a crystal structure of ZrRuF3 with its simulated powder diffractogram. Radiation: Cu Kα (weighted mean of Kα1 and Kα2). Structure: a cell relaxed with PBE.
Kinematic intensities with the Lorentz-polarization factor, no thermal factor.

Principal peaks in the range 15 to 90 degrees two-theta, low angle first:
| (hkl) | 2theta | I (rel.) |
| --- | --- | --- |
| 1 1 0 | 29.43 | 100 |
| 1 1 1 | 36.25 | 6 |
| 2 0 0 | 42.11 | 38 |
| 2 1 1 | 52.20 | 40 |
| 2 2 0 | 61.06 | 23 |
| 3 1 0 | 69.22 | 17 |
| 3 1 1 | 73.13 | 1 |
| 2 2 2 | 76.95 | 7 |
| 3 2 1 | 84.45 | 20 |

Cell and atoms:
```
data_ZrRuF3
_cell_length_a 4.292
_cell_length_b 4.292
_cell_length_c 4.292
_cell_angle_alpha 90.00
_cell_angle_beta 90.00
_cell_angle_gamma 90.00
_symmetry_space_group_name_H-M 'P 1'
_symmetry_Int_Tables_number 1
_symmetry_space_group_name_Hall 'P 1'
loop_
_atom_site_label
_atom_site_type_symbol
_atom_site_fract_x
_atom_site_fract_y
_atom_site_fract_z
_atom_site_occupancy
Zr1 Zr 0.000 0.000 0.000 1
Ru1 Ru 0.500 0.500 0.500 1
F1 F 0.000 0.000 0.500 1
F2 F 0.000 0.500 0.000 1
F3 F 0.500 0.000 0.000 1
```

=====

Record 2
This entry pairs a crystal structure of SbSF with its simulated powder diffractogram. Radiation: Cu Kα (weighted mean of Kα1 and Kα2). Structure: a cell relaxed with PBE.
Kinematic intensities with the Lorentz-polarization factor, no thermal factor.

Principal peaks in the range 15 to 90 degrees two-theta, low angle first:
| (hkl) | 2theta | I (rel.) |
| --- | --- | --- |
| 4 0 0 | 18.68 | 24 |
| 2 0 -1 | 19.54 | 100 |
| 2 0 1 | 20.42 | 80 |
| 6 0 0 | 28.18 | 21 |
| 3 1 0 | 28.57 | 92 |
| 1 1 -1 | 30.82 | 26 |
| 1 1 1 | 31.11 | 20 |
| 5 1 0 | 34.35 | 49 |
| 0 0 2 | 35.74 | 32 |
| 5 1 -1 | 38.28 | 31 |
| 5 1 1 | 39.47 | 20 |
| 7 1 -1 | 44.87 | 29 |

Cell and atoms:
```
data_SbSF
_cell_length_a 19.030
_cell_length_b 3.591
_cell_length_c 5.032
_cell_angle_alpha 90.00
_cell_angle_beta 93.01
_cell_angle_gamma 90.00
_symmetry_space_group_name_H-M 'P 1'
_symmetry_Int_Tables_number 1
_symmetry_space_group_name_Hall 'P 1'
loop_
_atom_site_label
_atom_site_type_symbol
_atom_site_fract_x
_atom_site_fract_y
_atom_site_fract_z
_atom_site_occupancy
Sb1 Sb 0.172 0.000 0.235 1
Sb2 Sb 0.328 0.500 0.765 1
Sb3 Sb 0.672 0.500 0.235 1
Sb4 Sb 0.828 0.000 0.765 1
S1 S 0.085 0.500 0.269 1
S2 S 0.415 0.000 0.731 1
S3 S 0.585 0.000 0.269 1
S4 S 0.915 0.500 0.731 1
F1 F 0.199 0.000 0.629 1
F2 F 0.301 0.500 0.371 1
F3 F 0.699 0.500 0.629 1
F4 F 0.801 0.000 0.371 1
```

=====

Record 3
This entry pairs a crystal structure of SbS5F with its simulated powder diffractogram. Radiation: Cu Kα (weighted mean of Kα1 and Kα2). Structure: a cell relaxed with PBE.
Kinematic intensities with the Lorentz-polarization factor, no thermal factor.

Principal peaks in the range 15 to 90 degrees two-theta, low angle first:
| (hkl) | 2theta | I (rel.) |
| --- | --- | --- |
| 0 1 1 | 19.45 | 31 |
| 0 0 2 | 19.65 | 87 |
| 1 0 0 | 20.57 | 38 |
| 1 0 1 | 20.86 | 32 |
| 0 1 -1 | 21.66 | 100 |
| 1 0 -1 | 24.63 | 32 |
| 0 1 2 | 25.03 | 78 |
| 1 0 2 | 25.38 | 23 |
| 1 1 0 | 25.60 | 37 |
| 1 1 2 | 28.05 | 20 |
| 0 1 3 | 32.86 | 23 |
| 0 2 0 | 36.64 | 31 |

Cell and atoms:
```
data_SbS5F
_cell_length_a 4.476
_cell_length_b 5.019
_cell_length_c 9.358
_cell_angle_alpha 80.87
_cell_angle_beta 76.74
_cell_angle_gamma 80.60
_symmetry_space_group_name_H-M 'P 1'
_symmetry_Int_Tables_number 1
_symmetry_space_group_name_Hall 'P 1'
loop_
_atom_site_label
_atom_site_type_symbol
_atom_site_fract_x
_atom_site_fract_y
_atom_site_fract_z
_atom_site_occupancy
Sb1 Sb 0.000 0.000 0.000 1
S1 S 0.118 0.202 0.399 1
S2 S 0.143 0.731 0.788 1
S3 S 0.448 0.463 0.310 1
S4 S 0.706 0.445 0.471 1
S5 S 0.831 0.459 0.865 1
F1 F 0.454 0.056 0.986 1
```

=====

Record 4
This entry pairs a crystal structure of SbS6F with its simulated powder diffractogram. Radiation: Cu Kα (weighted mean of Kα1 and Kα2). Structure: a cell relaxed with PBE.
Kinematic intensities with the Lorentz-polarization factor, no thermal factor.

Principal peaks in the range 15 to 90 degrees two-theta, low angle first:
| (hkl) | 2theta | I (rel.) |
| --- | --- | --- |
| 0 0 1 | 19.46 | 41 |
| 1 1 -1 | 21.58 | 25 |
| 2 2 0 | 28.97 | 100 |
| 2 2 -1 | 31.31 | 19 |
| 0 4 0 | 37.59 | 17 |
| 1 3 1 | 37.86 | 12 |
| 2 2 1 | 38.64 | 13 |
| 1 1 -2 | 39.02 | 19 |
| 0 2 2 | 43.99 | 14 |
| 4 0 0 | 45.00 | 15 |
| 3 1 -2 | 45.28 | 15 |
| 1 3 2 | 53.14 | 21 |

Cell and atoms:
```
data_SbS6F
_cell_length_a 8.402
_cell_length_b 9.572
_cell_length_c 4.757
_cell_angle_alpha 90.00
_cell_angle_beta 106.45
_cell_angle_gamma 90.00
_symmetry_space_group_name_H-M 'P 1'
_symmetry_Int_Tables_number 1
_symmetry_space_group_name_Hall 'P 1'
loop_
_atom_site_label
_atom_site_type_symbol
_atom_site_fract_x
_atom_site_fract_y
_atom_site_fract_z
_atom_site_occupancy
Sb1 Sb 0.000 0.000 0.000 1
Sb2 Sb 0.500 0.500 0.000 1
S1 S 0.002 0.500 0.804 1
S2 S 0.244 0.207 0.185 1
S3 S 0.244 0.793 0.185 1
S4 S 0.256 0.293 0.815 1
S5 S 0.256 0.707 0.815 1
S6 S 0.498 0.000 0.196 1
S7 S 0.502 0.000 0.804 1
S8 S 0.744 0.293 0.185 1
S9 S 0.744 0.707 0.185 1
S10 S 0.756 0.207 0.815 1
S11 S 0.756 0.793 0.815 1
S12 S 0.998 0.500 0.196 1
F1 F 0.000 0.000 0.500 1
F2 F 0.500 0.500 0.500 1
```